Simulated XRD peak list
Compound: Pr6ErZn
Radiation: Cu Kα (weighted mean of Kα1 and Kα2)
Structure: the PBE geometry in Alexandria
Neutral-atom scattering factors, no anomalous dispersion.

Structure:
Cell: 6.7100 6.7100 6.7854 Å, 95.00 95.00 118.86°
Element x y z (fractional)
Pr 0.0920 0.6655 0.7353
Pr 0.2500 0.2500 0.9341
Pr 0.3345 0.9080 0.2647
Pr 0.6655 0.0920 0.7353
Pr 0.7500 0.7500 0.0659
Pr 0.9080 0.3345 0.2647
Er 0.5000 0.5000 0.5000
Zn 0.0000 0.0000 0.5000

Principal peaks in the range 2θ from 10° to 90°, sorted by position:
- 2θ 26.67, I 13
- 2θ 28.79, I 19
- 2θ 30.92, I 100
- 2θ 31.73, I 100
- 2θ 44.78, I 9
- 2θ 44.95, I 17
- 2θ 48.48, I 11
- 2θ 55.55, I 13
- 2θ 57.06, I 13
- 2θ 57.23, I 8

Simulated XRD peak list
Compound: SbH6Cl12
Radiation: Cu Kα (weighted mean of Kα1 and Kα2)
Structure: the PBE geometry in Alexandria
Neutral-atom scattering factors, no anomalous dispersion.

Structure:
Cell: 7.0671 9.2055 9.2372 Å, 68.73 75.88 72.01°
Element x y z (fractional)
Sb 0.0000 0.0000 0.0000
H 0.0609 0.6764 0.4037
H 0.2957 0.5753 0.1145
H 0.3538 0.8691 0.6946
H 0.6462 0.1309 0.3054
H 0.7043 0.4247 0.8855
H 0.9391 0.3236 0.5963
Cl 0.0647 0.8731 0.7949
Cl 0.1599 0.2050 0.8188
Cl 0.1797 0.6215 0.5083
Cl 0.2611 0.4453 0.1113
Cl 0.3184 0.8401 0.0829
Cl 0.4523 0.1455 0.3744
Cl 0.5477 0.8545 0.6256
Cl 0.6816 0.1599 0.9171
Cl 0.7389 0.5547 0.8887
Cl 0.8203 0.3785 0.4917
Cl 0.8401 0.7950 0.1812
Cl 0.9353 0.1269 0.2051

Principal peaks in the range 2θ from 10° to 90°, sorted by position:
- 2θ 10.39, I 84
- 2θ 10.63, I 67
- 2θ 12.34, I 34
- 2θ 13.32, I 42
- 2θ 14.84, I 100
- 2θ 22.34, I 40
- 2θ 24.83, I 42
- 2θ 28.14, I 34
- 2θ 32.87, I 29
- 2θ 35.36, I 33